Starting from a PBE-relaxed structure, the powder X-ray diffraction pattern of Tb4NdN5 was simulated for Cu Kα X-rays.
Lines closer than 0.1° are merged.

Most intense lines, 2θ = 5–70°, in order of rising 2θ:
2θ/deg  I/Imax
7.08  0.8
31.01  100.0
35.96  72.3
51.76  49.8
61.57  44.7
64.64  16.7

Cell and atoms:
```
data_Tb4NdN5
_space_group_name_H-M_alt 'I 4/m m m'
_space_group_IT_number 139
_space_group_name_Hall '-I 4 2'
_cell_length_a 3.533
_cell_length_b 3.533
_cell_length_c 24.967
_cell_angle_alpha 90.00
_cell_angle_beta 90.00
_cell_angle_gamma 90.00
loop_
_atom_site_label
_atom_site_type_symbol
_atom_site_fract_x
_atom_site_fract_y
_atom_site_fract_z
_atom_site_occupancy
Tb1 Tb 0.000 0.000 0.102 1
Tb2 Tb 0.000 0.000 0.299 1
Nd1 Nd 0.000 0.000 0.500 1
N1 N 0.000 0.000 0.000 1
N2 N 0.000 0.000 0.200 1
N3 N 0.000 0.000 0.397 1
```